Computed powder diffractogram of SrLa3Ti2Co2O12 for a wavelength of 1.5418 Å, from the PBE+U geometry in Alexandria.
Peak positions follow from Bragg's law for the DFT cell and can differ from measured ones.

Cell: 5.530 5.530 7.698 Å, 90.00 90.00 90.00°
Sites, in units of the cell vectors:
Sr (0.000, 0.000, 0.000)
La (0.000, 0.000, 0.500)
La (0.500, 0.500, 0.000)
La (0.500, 0.500, 0.500)
Ti (0.000, 0.500, 0.247)
Ti (0.500, 0.000, 0.753)
Co (0.000, 0.500, 0.749)
Co (0.500, 0.000, 0.251)
O (0.000, 0.500, 0.503)
O (0.000, 0.500, 0.998)
O (0.252, 0.255, 0.256)
O (0.252, 0.745, 0.256)
O (0.255, 0.252, 0.744)
O (0.255, 0.748, 0.744)
O (0.500, 0.000, 0.002)
O (0.500, 0.000, 0.497)
O (0.745, 0.252, 0.744)
O (0.745, 0.748, 0.744)
O (0.748, 0.255, 0.256)
O (0.748, 0.745, 0.256)

Largest 10 diffraction maxima, most intense first, 2θ from 5° to 70°:
2θ 32.65, I = 100
2θ 32.38, I = 51
2θ 57.92, I = 39
2θ 46.45, I = 35
2θ 40.16, I = 30
2θ 68.40, I = 20
2θ 58.43, I = 19
2θ 47.23, I = 17
2θ 22.74, I = 12
2θ 67.79, I = 10



Computed powder diffractogram of La2Ti3CoO10 for a wavelength of 1.5418 Å, from the PBE+U geometry in Alexandria.
Peak positions follow from Bragg's law for the DFT cell and can differ from measured ones.

Cell: 13.889 13.889 13.889 Å, 164.14 164.14 22.51°
Sites, in units of the cell vectors:
La (0.080, 0.080, 0.000)
La (0.920, 0.920, 0.000)
Ti (0.342, 0.342, 0.000)
Ti (0.500, 0.500, 0.000)
Ti (0.658, 0.658, 0.000)
Co (0.750, 0.250, 0.500)
O (0.000, 0.500, 0.500)
O (0.141, 0.641, 0.500)
O (0.275, 0.275, 0.000)
O (0.359, 0.859, 0.500)
O (0.428, 0.428, 0.000)
O (0.500, 0.000, 0.500)
O (0.572, 0.572, 0.000)
O (0.642, 0.142, 0.500)
O (0.725, 0.725, 0.000)
O (0.858, 0.358, 0.500)

Largest 10 diffraction maxima, most intense first, 2θ from 5° to 70°:
2θ 28.47, I = 100
2θ 6.49, I = 75
2θ 32.79, I = 75
2θ 47.43, I = 51
2θ 33.05, I = 37
2θ 42.63, I = 29
2θ 58.86, I = 28
2θ 56.25, I = 28
2θ 39.70, I = 24
2θ 23.43, I = 24



Computed powder diffractogram of LaUCo2O8 for a wavelength of 1.5418 Å, from the PBE+U geometry in Alexandria.
Peak positions follow from Bragg's law for the DFT cell and can differ from measured ones.

Cell: 6.006 6.006 6.006 Å, 107.33 107.33 113.84°
Sites, in units of the cell vectors:
La (0.000, 0.000, 0.000)
U (0.250, 0.750, 0.500)
Co (0.500, 0.500, 0.000)
Co (0.750, 0.250, 0.500)
O (0.321, 0.117, 0.795)
O (0.321, 0.526, 0.205)
O (0.388, 0.056, 0.333)
O (0.474, 0.679, 0.795)
O (0.723, 0.056, 0.667)
O (0.883, 0.679, 0.205)
O (0.944, 0.277, 0.333)
O (0.944, 0.612, 0.667)

Largest 10 diffraction maxima, most intense first, 2θ from 5° to 70°:
2θ 25.02, I = 100
2θ 32.60, I = 79
2θ 49.10, I = 63
2θ 18.40, I = 51
2θ 35.68, I = 24
2θ 62.16, I = 18
2θ 31.24, I = 17
2θ 51.35, I = 16
2θ 57.95, I = 15
2θ 62.37, I = 14



Computed powder diffractogram of La2VCoO6 for a wavelength of 1.5418 Å, from the PBE+U geometry in Alexandria.
Peak positions follow from Bragg's law for the DFT cell and can differ from measured ones.

Cell: 5.549 5.679 9.638 Å, 90.00 124.60 90.00°
Sites, in units of the cell vectors:
La (0.241, 0.047, 0.249)
La (0.241, 0.453, 0.749)
La (0.759, 0.547, 0.251)
La (0.759, 0.953, 0.751)
V (0.000, 0.000, 0.500)
V (0.000, 0.500, 0.000)
Co (0.500, 0.000, 0.000)
Co (0.500, 0.500, 0.500)
O (0.152, 0.214, 0.952)
O (0.152, 0.286, 0.452)
O (0.235, 0.693, 0.959)
O (0.235, 0.807, 0.459)
O (0.329, 0.025, 0.744)
O (0.329, 0.475, 0.244)
O (0.671, 0.525, 0.756)
O (0.671, 0.975, 0.256)
O (0.765, 0.193, 0.541)
O (0.765, 0.307, 0.041)
O (0.848, 0.714, 0.548)
O (0.848, 0.786, 0.048)

Largest 10 diffraction maxima, most intense first, 2θ from 5° to 70°:
2θ 31.78, I = 100
2θ 32.01, I = 98
2θ 45.73, I = 78
2θ 32.26, I = 48
2θ 22.40, I = 48
2θ 31.51, I = 44
2θ 57.52, I = 23
2θ 57.09, I = 22
2θ 52.35, I = 21
2θ 66.94, I = 19



Computed powder diffractogram of La2ZnCoO6 for a wavelength of 1.5418 Å, from the PBE+U geometry in Alexandria.
Peak positions follow from Bragg's law for the DFT cell and can differ from measured ones.

Cell: 5.462 5.462 5.466 Å, 61.60 61.41 61.45°
Sites, in units of the cell vectors:
La (0.250, 0.250, 0.246)
La (0.750, 0.750, 0.754)
Zn (0.500, 0.500, 0.500)
Co (0.000, 0.000, 0.000)
O (0.172, 0.307, 0.774)
O (0.241, 0.831, 0.691)
O (0.303, 0.763, 0.175)
O (0.697, 0.237, 0.825)
O (0.759, 0.169, 0.309)
O (0.828, 0.693, 0.226)

Largest 10 diffraction maxima, most intense first, 2θ from 5° to 70°:
2θ 32.05, I = 100
2θ 32.80, I = 100
2θ 46.48, I = 39
2θ 57.64, I = 27
2θ 22.77, I = 20
2θ 46.59, I = 19
2θ 39.68, I = 19
2θ 59.03, I = 18
2θ 68.76, I = 17
2θ 57.07, I = 16



Computed powder diffractogram of La2ZrCoO6 for a wavelength of 1.5418 Å, from the PBE+U geometry in Alexandria.
Peak positions follow from Bragg's law for the DFT cell and can differ from measured ones.

Cell: 5.635 5.745 9.953 Å, 90.00 123.11 90.00°
Sites, in units of the cell vectors:
La (0.228, 0.046, 0.246)
La (0.228, 0.454, 0.746)
La (0.772, 0.546, 0.254)
La (0.772, 0.954, 0.754)
Zr (0.500, 0.000, 0.000)
Zr (0.500, 0.500, 0.500)
Co (0.000, 0.000, 0.500)
Co (0.000, 0.500, 0.000)
O (0.153, 0.212, 0.948)
O (0.153, 0.288, 0.448)
O (0.227, 0.708, 0.941)
O (0.227, 0.792, 0.441)
O (0.364, 0.035, 0.758)
O (0.364, 0.465, 0.258)
O (0.636, 0.535, 0.742)
O (0.636, 0.965, 0.242)
O (0.773, 0.208, 0.559)
O (0.773, 0.292, 0.059)
O (0.847, 0.712, 0.552)
O (0.847, 0.788, 0.052)

Largest 10 diffraction maxima, most intense first, 2θ from 5° to 70°:
2θ 31.15, I = 100
2θ 30.62, I = 75
2θ 45.08, I = 31
2θ 31.77, I = 31
2θ 43.42, I = 21
2θ 55.44, I = 18
2θ 55.54, I = 16
2θ 56.54, I = 15
2θ 54.39, I = 15
2θ 64.97, I = 11